This entry pairs a crystal structure of Li2CrPO4F with its theoretical powder XRD pattern. Radiation: Cu Kα (weighted mean of Kα1 and Kα2). Structure: a crystal structure in the Materials Project, relaxed with GGA+U.
Neutral-atom scattering factors, no anomalous dispersion.

Main lines, in order of rising 2θ (2θ = 10–90°):
2θ/deg	intensity	index
17.19	23	0 1 0
18.17	13	1 0 -1
24.63	21	0 1 1
25.89	74	0 1 -2
26.15	12	-1 1 1
26.35	100	1 1 0
36.57	13	1 -2 0
50.52	16	2 0 2
53.25	15	0 2 -4
54.32	16	1 -3 2

Atomic structure:
```
18
Lattice="5.3657 0.0000 0.0000 -0.3189 5.4555 0.0000 -2.0946 -2.3821 6.9317" Properties=species:S:1:pos:R:3 pbc="T T T"
Li 0.0000 0.0000 0.0000
Li -1.5280 3.2405 4.3318
Li -0.4238 -0.5426 6.7494
Li 3.2348 1.6851 2.1481
Cr 1.0390 3.0902 4.5131
Cr 2.1680 4.3553 1.1496
P -0.0063 0.2874 2.6709
P 2.5328 0.5615 6.4756
O -0.4037 1.5895 3.3848
O 0.4634 3.3297 0.4554
O 0.1739 -0.9006 3.6334
O 1.2894 0.4912 1.7790
O 3.3137 2.7467 0.3949
O 2.3008 1.7663 5.5204
O 2.8966 -0.7758 5.7970
O 4.2027 -0.0025 1.6318
F -0.3953 3.2042 5.9774
F 2.4503 3.1266 3.0892
```

---

This entry pairs a crystal structure of Li2Cr2P2O7F2 with its theoretical powder XRD pattern. Radiation: Cu Kα (weighted mean of Kα1 and Kα2). Structure: a crystal structure in the Materials Project, relaxed with GGA+U.
Neutral-atom scattering factors, no anomalous dispersion.

Main lines, in order of rising 2θ (2θ = 10–90°):
2θ/deg	intensity	index
15.20	74	1 1 0
16.33	29	0 2 0
16.74	28	0 0 2
17.36	100	1 1 1
22.68	43	1 1 2
31.84	49	2 2 1
32.65	28	1 3 2
33.85	22	0 0 4
35.14	28	2 2 2
49.99	20	3 3 2

Atomic structure:
```
60
Lattice="6.9124 0.0000 0.0000 0.0000 10.8537 0.0000 0.0000 0.0000 10.5938" Properties=species:S:1:pos:R:3 pbc="T T T"
Li 1.1539 2.7052 0.0104
Li 1.1539 8.1485 5.3073
Li 2.3023 2.7216 5.3073
Li 2.3023 8.1320 0.0104
Li 4.6101 2.7216 10.5834
Li 4.6101 8.1320 5.2865
Li 5.7585 2.7052 5.2865
Li 5.7585 8.1485 10.5834
Cr 0.0000 3.5136 2.6484
Cr 0.0000 5.4268 0.0000
Cr 0.0000 5.4268 5.2969
Cr 0.0000 7.3401 7.9453
Cr 3.4562 0.0000 0.0000
Cr 3.4562 0.0000 5.2969
Cr 3.4562 1.9132 7.9453
Cr 3.4562 8.9404 2.6484
P 1.4673 0.6674 2.6310
P 1.4673 10.1862 7.9279
P 1.9889 4.7594 7.9279
P 1.9889 6.0943 2.6310
P 4.9235 4.7594 7.9628
P 4.9235 6.0943 2.6659
P 5.4451 0.6674 2.6659
P 5.4451 10.1862 7.9628
O 0.0000 0.0528 7.9453
O 0.0000 10.8009 2.6484
O 1.1576 5.0849 1.8063
O 1.1576 5.7688 7.1032
O 1.2951 2.0139 1.9358
O 1.2951 8.8398 7.2327
O 1.4848 4.6150 9.3655
O 1.4848 6.2386 4.0687
O 1.9714 0.8118 4.0687
O 1.9714 10.0419 9.3655
O 2.1611 3.4130 7.2327
O 2.1611 7.4407 1.9358
O 2.2985 0.3419 7.1032
O 2.2985 10.5117 1.8063
O 3.4562 5.3741 2.6484
O 3.4562 5.4796 7.9453
O 4.6138 0.3419 8.7875
O 4.6138 10.5117 3.4906
O 4.7513 3.4130 8.6580
O 4.7513 7.4407 3.3611
O 4.9410 0.8118 1.2282
O 4.9410 10.0419 6.5251
O 5.4276 4.6150 6.5251
O 5.4276 6.2386 1.2282
O 5.6173 2.0139 3.3611
O 5.6173 8.8398 8.6580
O 5.7547 5.0849 3.4906
O 5.7547 5.7688 8.7875
F 0.6186 3.3448 4.8596
F 0.6186 7.5089 10.1565
F 2.8376 2.0821 10.1565
F 2.8376 8.7716 4.8596
F 4.0748 2.0821 5.7342
F 4.0748 8.7716 0.4373
F 6.2938 3.3448 0.4373
F 6.2938 7.5089 5.7342
```

---

This entry pairs a crystal structure of Li2CrPO4F with its theoretical powder XRD pattern. Radiation: Cu Kα (weighted mean of Kα1 and Kα2). Structure: a crystal structure in the Materials Project, relaxed with GGA+U.
Neutral-atom scattering factors, no anomalous dispersion.

Main lines, in order of rising 2θ (2θ = 10–90°):
2θ/deg	intensity	index
16.98	33	0 1 0
25.81	100	0 1 -2
26.00	18	1 -1 1
26.21	41	1 0 -2
26.75	82	1 1 0
34.50	20	-1 1 2
34.69	18	1 -1 2
35.93	19	1 -2 0
39.59	16	2 1 -2
42.77	15	2 1 0

Atomic structure:
```
18
Lattice="5.3107 0.0000 0.0000 -0.3796 5.5555 0.0000 -2.2502 -2.4812 6.8468" Properties=species:S:1:pos:R:3 pbc="T T T"
Li 0.0000 0.0000 0.0000
Li -0.8006 0.5453 2.5979
Li 0.7846 2.4423 1.3622
Li 1.8947 1.9080 4.4466
Cr 2.5694 0.3835 0.2186
Cr 1.4897 -0.8657 3.7231
P -1.0560 0.5045 5.2886
P 3.6131 3.3983 2.1299
O -0.5956 3.6932 3.1583
O -1.4324 1.7628 6.0853
O -0.9935 -0.7001 6.2689
O 0.2951 0.6647 4.5191
O 2.2086 3.1540 2.7894
O 3.4927 4.6638 1.2141
O 4.0252 2.1164 1.3625
O 3.1663 0.3060 4.1708
F 1.0834 0.4925 1.6680
F 1.3183 3.3519 5.5881
```